Record 1
Structure and calculated powder X-ray diffraction pattern of PaGeH6Ru3 (a crystal structure in Alexandria, relaxed with GGA-PBE; copper Kα).
No peak broadening, texture or thermal motion is included.

Largest 8 diffraction maxima, sorted by position, 2θ from 10° to 90°:
d [Å]	Rel. int.
3.567	51
2.836	100
2.384	35
2.338	86
1.955	27
1.784	32
1.547	29
1.428	26

Structure:
abc: 4.7591 4.7591 4.7591
angles: 97.10 97.10 97.10
Fractional coordinates of all 11 atoms:
Pa  0.0000  0.0000  0.0000
Ge  0.3990  0.3990  0.3990
H  0.1333  0.5091  0.8629
H  0.1333  0.8629  0.5091
H  0.5091  0.1333  0.8629
H  0.5091  0.8629  0.1333
H  0.8629  0.1333  0.5091
H  0.8629  0.5091  0.1333
Ru  0.5307  0.5307  0.9362
Ru  0.5307  0.9362  0.5307
Ru  0.9362  0.5307  0.5307


Record 2
Structure and calculated powder X-ray diffraction pattern of Pa2GeHRu6 (a crystal structure in Alexandria, relaxed with GGA-PBE; copper Kα).
No peak broadening, texture or thermal motion is included.

Largest 8 diffraction maxima, sorted by position, 2θ from 10° to 90°:
d [Å]	Rel. int.
3.014	19
2.488	100
2.203	49
2.066	23
1.558	16
1.507	25
1.320	27
1.244	15

Structure:
abc: 4.4056 4.4056 8.2645
angles: 90.00 90.00 90.00
Fractional coordinates of all 10 atoms:
Pa  0.0000  0.0000  0.2367
Pa  0.0000  0.0000  0.7633
Ge  0.5000  0.5000  0.5000
H  0.5000  0.5000  0.0000
Ru  0.0000  0.5000  0.0000
Ru  0.0000  0.5000  0.5000
Ru  0.5000  0.0000  0.0000
Ru  0.5000  0.0000  0.5000
Ru  0.5000  0.5000  0.2180
Ru  0.5000  0.5000  0.7820